(1)
PmSm2Y6Tm2: computed PXRD pattern (Cu Kα (weighted mean of Kα1 and Kα2)), based on a crystal structure in Alexandria, relaxed with GGA-PBE.
Kinematic intensities with the Lorentz-polarization factor, no thermal factor.

Largest 6 diffraction maxima, most intense first, 2θ = 10–80°:
32.08 deg, intensity 100
31.49 deg, intensity 36
30.59 deg, intensity 22
33.63 deg, intensity 20
30.91 deg, intensity 19
46.74 deg, intensity 16

Structural model:
```
data_PmSm2Y6Tm2
_cell_length_a 6.649
_cell_length_b 6.649
_cell_length_c 10.659
_cell_angle_alpha 90.04
_cell_angle_beta 90.04
_cell_angle_gamma 129.41
_symmetry_space_group_name_H-M 'P 1'
_symmetry_Int_Tables_number 1
_symmetry_space_group_name_Hall 'P 1'
loop_
_atom_site_label
_atom_site_type_symbol
_atom_site_fract_x
_atom_site_fract_y
_atom_site_fract_z
_atom_site_occupancy
Pm1 Pm 0.000 0.000 0.000 1
Sm1 Sm 0.364 0.636 0.500 1
Sm2 Sm 0.636 0.364 0.500 1
Y1 Y 0.154 0.845 0.288 1
Y2 Y 0.155 0.846 0.712 1
Y3 Y 0.499 0.499 0.210 1
Y4 Y 0.501 0.501 0.790 1
Y5 Y 0.845 0.154 0.288 1
Y6 Y 0.846 0.155 0.712 1
Tm1 Tm 0.298 0.702 0.000 1
Tm2 Tm 0.702 0.298 0.000 1
```

---

(2)
Pm2SmY5Tm: computed PXRD pattern (Cu Kα (weighted mean of Kα1 and Kα2)), based on a crystal structure in Alexandria, relaxed with GGA-PBE.
Kinematic intensities with the Lorentz-polarization factor, no thermal factor.

Largest 6 diffraction maxima, most intense first, 2θ = 10–80°:
30.70 deg, intensity 100
28.71 deg, intensity 55
29.35 deg, intensity 50
52.90 deg, intensity 23
43.59 deg, intensity 22
38.12 deg, intensity 21

Structural model:
```
data_Pm2SmY5Tm
_cell_length_a 9.981
_cell_length_b 9.981
_cell_length_c 9.981
_cell_angle_alpha 128.91
_cell_angle_beta 128.91
_cell_angle_gamma 75.16
_symmetry_space_group_name_H-M 'P 1'
_symmetry_Int_Tables_number 1
_symmetry_space_group_name_Hall 'P 1'
loop_
_atom_site_label
_atom_site_type_symbol
_atom_site_fract_x
_atom_site_fract_y
_atom_site_fract_z
_atom_site_occupancy
Pm1 Pm 0.118 0.618 0.736 1
Pm2 Pm 0.382 0.118 0.500 1
Pm3 Pm 0.618 0.882 0.500 1
Pm4 Pm 0.882 0.382 0.264 1
Sm1 Sm 0.250 0.750 0.500 1
Sm2 Sm 0.750 0.250 0.500 1
Y1 Y 0.000 0.000 0.000 1
Y2 Y 0.070 0.152 0.500 1
Y3 Y 0.152 0.652 0.082 1
Y4 Y 0.348 0.430 0.500 1
Y5 Y 0.430 0.930 0.082 1
Y6 Y 0.500 0.500 0.000 1
Y7 Y 0.570 0.070 0.918 1
Y8 Y 0.652 0.570 0.500 1
Y9 Y 0.848 0.348 0.918 1
Y10 Y 0.930 0.848 0.500 1
Tm1 Tm 0.250 0.250 0.000 1
Tm2 Tm 0.750 0.750 0.000 1
```

---

(3)
Pm5Sm4Y3: computed PXRD pattern (Cu Kα (weighted mean of Kα1 and Kα2)), based on a crystal structure in Alexandria, relaxed with GGA-PBE.
Kinematic intensities with the Lorentz-polarization factor, no thermal factor.

Largest 6 diffraction maxima, most intense first, 2θ = 10–80°:
30.21 deg, intensity 100
34.99 deg, intensity 34
59.89 deg, intensity 21
50.33 deg, intensity 18
50.42 deg, intensity 18
35.10 deg, intensity 17

Structural model:
```
data_Pm5Sm4Y3
_cell_length_a 6.277
_cell_length_b 7.242
_cell_length_c 8.876
_cell_angle_alpha 90.03
_cell_angle_beta 90.15
_cell_angle_gamma 90.17
_symmetry_space_group_name_H-M 'P 1'
_symmetry_Int_Tables_number 1
_symmetry_space_group_name_Hall 'P 1'
loop_
_atom_site_label
_atom_site_type_symbol
_atom_site_fract_x
_atom_site_fract_y
_atom_site_fract_z
_atom_site_occupancy
Pm1 Pm 0.000 0.000 0.000 1
Pm2 Pm 0.333 0.499 0.333 1
Pm3 Pm 0.499 0.250 0.000 1
Pm4 Pm 0.501 0.750 0.000 1
Pm5 Pm 0.667 0.501 0.667 1
Sm1 Sm 0.167 0.750 0.666 1
Sm2 Sm 0.334 0.000 0.333 1
Sm3 Sm 0.666 0.000 0.667 1
Sm4 Sm 0.833 0.250 0.334 1
Y1 Y 0.000 0.500 0.000 1
Y2 Y 0.167 0.250 0.666 1
Y3 Y 0.833 0.750 0.334 1
```

---

(4)
Pm8Sm5Y: computed PXRD pattern (Cu Kα (weighted mean of Kα1 and Kα2)), based on a crystal structure in Alexandria, relaxed with GGA-PBE.
Kinematic intensities with the Lorentz-polarization factor, no thermal factor.

Largest 6 diffraction maxima, most intense first, 2θ = 10–80°:
33.22 deg, intensity 100
28.96 deg, intensity 76
28.80 deg, intensity 61
27.55 deg, intensity 52
34.28 deg, intensity 47
33.89 deg, intensity 39

Structural model:
```
data_Pm8Sm5Y
_cell_length_a 8.605
_cell_length_b 8.605
_cell_length_c 8.605
_cell_angle_alpha 110.98
_cell_angle_beta 110.98
_cell_angle_gamma 106.50
_symmetry_space_group_name_H-M 'P 1'
_symmetry_Int_Tables_number 1
_symmetry_space_group_name_Hall 'P 1'
loop_
_atom_site_label
_atom_site_type_symbol
_atom_site_fract_x
_atom_site_fract_y
_atom_site_fract_z
_atom_site_occupancy
Pm1 Pm 0.175 0.411 0.594 1
Pm2 Pm 0.328 0.223 0.245 1
Pm3 Pm 0.420 0.825 0.236 1
Pm4 Pm 0.589 0.184 0.764 1
Pm5 Pm 0.777 0.022 0.104 1
Pm6 Pm 0.816 0.580 0.406 1
Pm7 Pm 0.917 0.672 0.896 1
Pm8 Pm 0.978 0.083 0.755 1
Sm1 Sm 0.068 0.467 0.183 1
Sm2 Sm 0.115 0.932 0.398 1
Sm3 Sm 0.283 0.885 0.817 1
Sm4 Sm 0.533 0.717 0.602 1
Sm5 Sm 0.750 0.250 0.500 1
Y1 Y 0.500 0.500 0.000 1
```

---

(5)
PmSm3Y7: computed PXRD pattern (Cu Kα (weighted mean of Kα1 and Kα2)), based on a crystal structure in Alexandria, relaxed with GGA-PBE.
Kinematic intensities with the Lorentz-polarization factor, no thermal factor.

Largest 6 diffraction maxima, most intense first, 2θ = 10–80°:
31.72 deg, intensity 100
32.48 deg, intensity 52
32.09 deg, intensity 44
31.85 deg, intensity 35
31.22 deg, intensity 32
56.98 deg, intensity 20

Structural model:
```
data_PmSm3Y7
_cell_length_a 6.963
_cell_length_b 5.578
_cell_length_c 10.122
_cell_angle_alpha 90.00
_cell_angle_beta 109.96
_cell_angle_gamma 90.00
_symmetry_space_group_name_H-M 'P 1'
_symmetry_Int_Tables_number 1
_symmetry_space_group_name_Hall 'P 1'
loop_
_atom_site_label
_atom_site_type_symbol
_atom_site_fract_x
_atom_site_fract_y
_atom_site_fract_z
_atom_site_occupancy
Pm1 Pm 0.000 0.000 0.000 1
Sm1 Sm 0.282 0.500 0.500 1
Sm2 Sm 0.500 0.000 0.000 1
Sm3 Sm 0.718 0.500 0.500 1
Y1 Y 0.000 0.000 0.500 1
Y2 Y 0.144 0.500 0.787 1
Y3 Y 0.319 0.500 0.137 1
Y4 Y 0.416 0.000 0.330 1
Y5 Y 0.584 0.000 0.670 1
Y6 Y 0.681 0.500 0.863 1
Y7 Y 0.856 0.500 0.213 1
```

---

(6)
Pm6SmY4: computed PXRD pattern (Cu Kα (weighted mean of Kα1 and Kα2)), based on a crystal structure in Alexandria, relaxed with GGA-PBE.
Kinematic intensities with the Lorentz-polarization factor, no thermal factor.

Largest 6 diffraction maxima, most intense first, 2θ = 10–80°:
31.47 deg, intensity 100
30.44 deg, intensity 90
29.93 deg, intensity 89
30.28 deg, intensity 67
32.84 deg, intensity 65
31.66 deg, intensity 64

Structural model:
```
data_Pm6SmY4
_cell_length_a 5.690
_cell_length_b 5.690
_cell_length_c 25.969
_cell_angle_alpha 90.00
_cell_angle_beta 90.00
_cell_angle_gamma 117.86
_symmetry_space_group_name_H-M 'P 1'
_symmetry_Int_Tables_number 1
_symmetry_space_group_name_Hall 'P 1'
loop_
_atom_site_label
_atom_site_type_symbol
_atom_site_fract_x
_atom_site_fract_y
_atom_site_fract_z
_atom_site_occupancy
Pm1 Pm 0.000 0.000 0.000 1
Pm2 Pm 0.000 0.000 0.500 1
Pm3 Pm 0.049 0.951 0.750 1
Pm4 Pm 0.301 0.699 0.101 1
Pm5 Pm 0.301 0.699 0.399 1
Pm6 Pm 0.375 0.625 0.682 1
Pm7 Pm 0.375 0.625 0.818 1
Pm8 Pm 0.625 0.375 0.182 1
Pm9 Pm 0.625 0.375 0.318 1
Pm10 Pm 0.699 0.301 0.601 1
Pm11 Pm 0.699 0.301 0.899 1
Pm12 Pm 0.951 0.049 0.250 1
Sm1 Sm 0.289 0.711 0.250 1
Sm2 Sm 0.711 0.289 0.750 1
Y1 Y 0.041 0.959 0.624 1
Y2 Y 0.041 0.959 0.876 1
Y3 Y 0.349 0.651 0.544 1
Y4 Y 0.349 0.651 0.956 1
Y5 Y 0.651 0.349 0.044 1
Y6 Y 0.651 0.349 0.456 1
Y7 Y 0.959 0.041 0.124 1
Y8 Y 0.959 0.041 0.376 1
```

---

(7)
Pm3Sm7Y: computed PXRD pattern (Cu Kα (weighted mean of Kα1 and Kα2)), based on a crystal structure in Alexandria, relaxed with GGA-PBE.
Kinematic intensities with the Lorentz-polarization factor, no thermal factor.

Largest 6 diffraction maxima, most intense first, 2θ = 10–80°:
32.18 deg, intensity 100
30.08 deg, intensity 37
54.76 deg, intensity 22
31.61 deg, intensity 15
31.44 deg, intensity 13
44.20 deg, intensity 12

Structural model:
```
data_Pm3Sm7Y
_cell_length_a 8.559
_cell_length_b 8.559
_cell_length_c 8.559
_cell_angle_alpha 139.38
_cell_angle_beta 97.18
_cell_angle_gamma 96.66
_symmetry_space_group_name_H-M 'P 1'
_symmetry_Int_Tables_number 1
_symmetry_space_group_name_Hall 'P 1'
loop_
_atom_site_label
_atom_site_type_symbol
_atom_site_fract_x
_atom_site_fract_y
_atom_site_fract_z
_atom_site_occupancy
Pm1 Pm 0.000 0.000 0.000 1
Pm2 Pm 0.209 0.500 0.709 1
Pm3 Pm 0.791 0.500 0.291 1
Sm1 Sm 0.002 0.800 0.203 1
Sm2 Sm 0.207 0.707 0.500 1
Sm3 Sm 0.403 0.200 0.203 1
Sm4 Sm 0.500 0.500 0.000 1
Sm5 Sm 0.597 0.800 0.797 1
Sm6 Sm 0.793 0.293 0.500 1
Sm7 Sm 0.998 0.200 0.797 1
Y1 Y 0.500 0.000 0.500 1
```

---

(8)
PmSm2Y12: computed PXRD pattern (Cu Kα (weighted mean of Kα1 and Kα2)), based on a crystal structure in Alexandria, relaxed with GGA-PBE.
Kinematic intensities with the Lorentz-polarization factor, no thermal factor.

Largest 6 diffraction maxima, most intense first, 2θ = 10–80°:
31.37 deg, intensity 100
30.57 deg, intensity 91
33.07 deg, intensity 82
32.77 deg, intensity 79
29.59 deg, intensity 75
29.00 deg, intensity 44

Structural model:
```
data_PmSm2Y12
_cell_length_a 6.714
_cell_length_b 6.714
_cell_length_c 24.911
_cell_angle_alpha 90.00
_cell_angle_beta 90.00
_cell_angle_gamma 116.33
_symmetry_space_group_name_H-M 'P 1'
_symmetry_Int_Tables_number 1
_symmetry_space_group_name_Hall 'P 1'
loop_
_atom_site_label
_atom_site_type_symbol
_atom_site_fract_x
_atom_site_fract_y
_atom_site_fract_z
_atom_site_occupancy
Pm1 Pm 0.250 0.750 0.000 1
Pm2 Pm 0.750 0.250 0.000 1
Sm1 Sm 0.250 0.750 0.270 1
Sm2 Sm 0.250 0.750 0.734 1
Sm3 Sm 0.750 0.250 0.266 1
Sm4 Sm 0.750 0.250 0.730 1
Y1 Y 0.001 0.501 0.128 1
Y2 Y 0.001 0.999 0.922 1
Y3 Y 0.011 0.511 0.585 1
Y4 Y 0.014 0.986 0.439 1
Y5 Y 0.250 0.250 0.200 1
Y6 Y 0.250 0.250 0.327 1
Y7 Y 0.250 0.250 0.673 1
Y8 Y 0.250 0.250 0.800 1
Y9 Y 0.486 0.514 0.439 1
Y10 Y 0.489 0.989 0.585 1
Y11 Y 0.499 0.501 0.922 1
Y12 Y 0.499 0.999 0.128 1
Y13 Y 0.501 0.001 0.872 1
Y14 Y 0.501 0.499 0.078 1
Y15 Y 0.511 0.011 0.415 1
Y16 Y 0.514 0.486 0.561 1
Y17 Y 0.750 0.750 0.200 1
Y18 Y 0.750 0.750 0.327 1
Y19 Y 0.750 0.750 0.673 1
Y20 Y 0.750 0.750 0.800 1
Y21 Y 0.986 0.014 0.561 1
Y22 Y 0.989 0.489 0.415 1
Y23 Y 0.999 0.001 0.078 1
Y24 Y 0.999 0.499 0.872 1
```

---

(9)
Pm8SmY3: computed PXRD pattern (Cu Kα (weighted mean of Kα1 and Kα2)), based on a crystal structure in Alexandria, relaxed with GGA-PBE.
Kinematic intensities with the Lorentz-polarization factor, no thermal factor.

Largest 6 diffraction maxima, most intense first, 2θ = 10–80°:
30.99 deg, intensity 100
30.32 deg, intensity 66
31.62 deg, intensity 49
32.05 deg, intensity 42
45.64 deg, intensity 31
30.28 deg, intensity 22

Structural model:
```
data_Pm8SmY3
_cell_length_a 6.698
_cell_length_b 8.582
_cell_length_c 8.596
_cell_angle_alpha 102.74
_cell_angle_beta 109.54
_cell_angle_gamma 109.47
_symmetry_space_group_name_H-M 'P 1'
_symmetry_Int_Tables_number 1
_symmetry_space_group_name_Hall 'P 1'
loop_
_atom_site_label
_atom_site_type_symbol
_atom_site_fract_x
_atom_site_fract_y
_atom_site_fract_z
_atom_site_occupancy
Pm1 Pm 0.000 0.000 0.000 1
Pm2 Pm 0.000 0.259 0.741 1
Pm3 Pm 0.492 0.779 0.550 1
Pm4 Pm 0.495 0.037 0.291 1
Pm5 Pm 0.497 0.372 0.626 1
Pm6 Pm 0.498 0.114 0.885 1
Pm7 Pm 0.991 0.666 0.665 1
Pm8 Pm 0.995 0.332 0.333 1
Sm1 Sm 0.992 0.922 0.404 1
Y1 Y 0.496 0.448 0.218 1
Y2 Y 0.496 0.706 0.958 1
Y3 Y 0.996 0.591 0.073 1
```

---

(10)
PmSm5Y: computed PXRD pattern (Cu Kα (weighted mean of Kα1 and Kα2)), based on a crystal structure in Alexandria, relaxed with GGA-PBE.
Kinematic intensities with the Lorentz-polarization factor, no thermal factor.

Largest 6 diffraction maxima, most intense first, 2θ = 10–80°:
30.90 deg, intensity 100
30.28 deg, intensity 73
30.12 deg, intensity 73
29.67 deg, intensity 69
30.74 deg, intensity 67
33.02 deg, intensity 43

Structural model:
```
data_PmSm5Y
_cell_length_a 6.890
_cell_length_b 6.890
_cell_length_c 12.423
_cell_angle_alpha 108.35
_cell_angle_beta 108.35
_cell_angle_gamma 59.76
_symmetry_space_group_name_H-M 'P 1'
_symmetry_Int_Tables_number 1
_symmetry_space_group_name_Hall 'P 1'
loop_
_atom_site_label
_atom_site_type_symbol
_atom_site_fract_x
_atom_site_fract_y
_atom_site_fract_z
_atom_site_occupancy
Pm1 Pm 0.029 0.971 0.750 1
Pm2 Pm 0.971 0.029 0.250 1
Sm1 Sm 0.154 0.409 0.753 1
Sm2 Sm 0.184 0.658 0.500 1
Sm3 Sm 0.342 0.816 0.000 1
Sm4 Sm 0.409 0.154 0.253 1
Sm5 Sm 0.411 0.589 0.250 1
Sm6 Sm 0.589 0.411 0.750 1
Sm7 Sm 0.591 0.846 0.747 1
Sm8 Sm 0.658 0.184 0.000 1
Sm9 Sm 0.816 0.342 0.500 1
Sm10 Sm 0.846 0.591 0.247 1
Y1 Y 0.000 0.500 0.000 1
Y2 Y 0.500 0.000 0.500 1
```

---

(11)
Pm3Sm2Y5: computed PXRD pattern (Cu Kα (weighted mean of Kα1 and Kα2)), based on a crystal structure in Alexandria, relaxed with GGA-PBE.
Kinematic intensities with the Lorentz-polarization factor, no thermal factor.

Largest 6 diffraction maxima, most intense first, 2θ = 10–80°:
30.72 deg, intensity 100
29.78 deg, intensity 82
33.17 deg, intensity 45
32.09 deg, intensity 30
36.89 deg, intensity 28
48.97 deg, intensity 24

Structural model:
```
data_Pm3Sm2Y5
_cell_length_a 9.811
_cell_length_b 9.811
_cell_length_c 9.335
_cell_angle_alpha 108.55
_cell_angle_beta 108.55
_cell_angle_gamma 113.19
_symmetry_space_group_name_H-M 'P 1'
_symmetry_Int_Tables_number 1
_symmetry_space_group_name_Hall 'P 1'
loop_
_atom_site_label
_atom_site_type_symbol
_atom_site_fract_x
_atom_site_fract_y
_atom_site_fract_z
_atom_site_occupancy
Pm1 Pm 0.025 0.275 0.049 1
Pm2 Pm 0.227 0.773 0.750 1
Pm3 Pm 0.275 0.025 0.549 1
Pm4 Pm 0.725 0.975 0.451 1
Pm5 Pm 0.773 0.227 0.250 1
Pm6 Pm 0.975 0.725 0.951 1
Sm1 Sm 0.230 0.477 0.456 1
Sm2 Sm 0.477 0.230 0.956 1
Sm3 Sm 0.523 0.770 0.044 1
Sm4 Sm 0.770 0.523 0.544 1
Y1 Y 0.025 0.975 0.750 1
Y2 Y 0.127 0.370 0.750 1
Y3 Y 0.273 0.727 0.250 1
Y4 Y 0.370 0.127 0.250 1
Y5 Y 0.474 0.526 0.250 1
Y6 Y 0.526 0.474 0.750 1
Y7 Y 0.630 0.873 0.750 1
Y8 Y 0.727 0.273 0.750 1
Y9 Y 0.873 0.630 0.250 1
Y10 Y 0.975 0.025 0.250 1
```

---

(12)
Pm12SmY5: computed PXRD pattern (Cu Kα (weighted mean of Kα1 and Kα2)), based on a crystal structure in Alexandria, relaxed with GGA-PBE.
Kinematic intensities with the Lorentz-polarization factor, no thermal factor.

Largest 6 diffraction maxima, most intense first, 2θ = 10–80°:
29.59 deg, intensity 100
31.45 deg, intensity 84
30.34 deg, intensity 84
33.08 deg, intensity 73
59.77 deg, intensity 72
50.18 deg, intensity 62

Structural model:
```
data_Pm12SmY5
_cell_length_a 6.298
_cell_length_b 6.298
_cell_length_c 17.801
_cell_angle_alpha 93.37
_cell_angle_beta 93.37
_cell_angle_gamma 119.98
_symmetry_space_group_name_H-M 'P 1'
_symmetry_Int_Tables_number 1
_symmetry_space_group_name_Hall 'P 1'
loop_
_atom_site_label
_atom_site_type_symbol
_atom_site_fract_x
_atom_site_fract_y
_atom_site_fract_z
_atom_site_occupancy
Pm1 Pm 0.056 0.389 0.166 1
Pm2 Pm 0.112 0.112 0.334 1
Pm3 Pm 0.221 0.555 0.666 1
Pm4 Pm 0.277 0.277 0.834 1
Pm5 Pm 0.389 0.056 0.166 1
Pm6 Pm 0.445 0.779 0.334 1
Pm7 Pm 0.555 0.221 0.666 1
Pm8 Pm 0.611 0.944 0.834 1
Pm9 Pm 0.723 0.723 0.166 1
Pm10 Pm 0.779 0.445 0.334 1
Pm11 Pm 0.888 0.888 0.666 1
Pm12 Pm 0.944 0.611 0.834 1
Sm1 Sm 0.000 0.000 0.000 1
Y1 Y 0.167 0.833 0.500 1
Y2 Y 0.333 0.667 0.000 1
Y3 Y 0.500 0.500 0.500 1
Y4 Y 0.667 0.333 0.000 1
Y5 Y 0.833 0.167 0.500 1
```